# KCuPbSeS2
Theoretical powder XRD pattern, λ = 1.5418 Å (Cu Kα). Input: a cell relaxed with PBE.
No peak broadening, texture or thermal motion is included.

Peak list (10 most intense, 10 to 80 degrees two-theta, by angle)
Position (°2θ)  Rel. int.
12.1  100
23.4  15
28.4  20
29.2  22
30.3  22
32.0  19
33.4  28
34.3  17
40.0  15
41.8  19

Structural model:
```
KCuPbSeS2
1.0
1.9659 -7.3024 0.0000
1.9659 7.3024 0.0000
0.0000 0.0000 11.1856
K Cu Pb Se S
2 2 2 2 4
Direct
0.2490 0.7510 0.7500
0.7510 0.2490 0.2500
0.0462 0.9538 0.2500
0.9538 0.0462 0.7500
0.5000 0.5000 0.0000
0.5000 0.5000 0.5000
0.4398 0.5602 0.2500
0.5602 0.4398 0.7500
0.1228 0.8772 0.0738
0.1228 0.8772 0.4262
0.8772 0.1228 0.5738
0.8772 0.1228 0.9262
```

# Re3P5Au
Theoretical powder XRD pattern, λ = 1.5418 Å (Cu Kα). Input: a cell relaxed with PBE.
No peak broadening, texture or thermal motion is included.

Peak list (10 most intense, 10 to 80 degrees two-theta, by angle)
Position (°2θ)  Rel. int.
12.7  78
23.4  100
25.5  53
36.7  41
39.8  59
41.9  31
43.7  26
47.8  94
55.2  21
67.8  27

Structural model:
```
Re3P5Au
1.0
5.2365 0.0000 0.0000
-2.6182 4.5349 0.0000
0.0000 0.0000 6.9759
Re P Au
3 5 1
Direct
0.0000 0.5000 0.0000
0.5000 0.0000 0.0000
0.5000 0.5000 0.0000
0.0000 0.0000 0.0000
0.3333 0.6667 0.2841
0.3333 0.6667 0.7159
0.6667 0.3333 0.2841
0.6667 0.3333 0.7159
0.0000 0.0000 0.5000
```

# Ba2Li3SmPb3
Theoretical powder XRD pattern, λ = 1.5418 Å (Cu Kα). Input: a cell relaxed with PBE.
No peak broadening, texture or thermal motion is included.

Peak list (10 most intense, 10 to 80 degrees two-theta, by angle)
Position (°2θ)  Rel. int.
21.5  77
29.5  100
35.2  39
35.4  72
41.8  14
46.8  28
57.1  16
60.0  27
63.5  14
63.6  14

Structural model:
```
Ba2Li3SmPb3
1.0
5.0663 0.0000 0.0000
-2.5331 4.3875 0.0000
0.0000 0.0000 12.5429
Ba Li Sm Pb
2 3 1 3
Direct
0.0000 0.0000 0.1679
0.0000 0.0000 0.8321
0.3333 0.6667 0.0000
0.6667 0.3333 0.3484
0.6667 0.3333 0.6516
0.0000 0.0000 0.5000
0.3333 0.6667 0.3708
0.3333 0.6667 0.6292
0.6667 0.3333 0.0000
```

# KThCuSeS2
Theoretical powder XRD pattern, λ = 1.5418 Å (Cu Kα). Input: a cell relaxed with PBE.
No peak broadening, texture or thermal motion is included.

Peak list (10 most intense, 10 to 80 degrees two-theta, by angle)
Position (°2θ)  Rel. int.
12.4  100
20.5  18
22.5  18
27.9  25
29.9  23
33.0  18
33.2  42
35.4  16
40.3  15
41.9  29

Structural model:
```
KThCuSeS2
1.0
2.0571 -7.1546 0.0000
2.0571 7.1546 0.0000
0.0000 0.0000 10.8487
K Th Cu Se S
2 2 2 2 4
Direct
0.2434 0.7566 0.7500
0.7566 0.2434 0.2500
0.0000 0.0000 0.0000
0.0000 0.0000 0.5000
0.4711 0.5289 0.2500
0.5289 0.4711 0.7500
0.0765 0.9235 0.2500
0.9235 0.0765 0.7500
0.3796 0.6204 0.0725
0.3796 0.6204 0.4275
0.6204 0.3796 0.5725
0.6204 0.3796 0.9275
```